The following is a calculated powder XRD pattern of TbMn2O5. It was derived from a GGA+U-relaxed structure, using Cu Kα.
Neutral-atom scattering factors, no anomalous dispersion.

Peak list (6 most intense, 2θ from 5° to 70°, by intensity)
d = 2.927 Å, intensity 100
d = 3.126 Å, intensity 67
d = 5.793 Å, intensity 40
d = 2.670 Å, intensity 39
d = 2.203 Å, intensity 28
d = 1.679 Å, intensity 27

Structure:
Lattice parameters (Å, degrees): 7.385 8.592 5.793 90.00 90.00 90.00
Element x y z (fractional)
Tb 0.138 0.171 0.000
Tb 0.362 0.671 0.000
Tb 0.638 0.329 0.000
Tb 0.862 0.829 0.000
Mn 0.000 0.500 0.254
Mn 0.000 0.500 0.746
Mn 0.089 0.849 0.500
Mn 0.411 0.349 0.500
Mn 0.500 0.000 0.254
Mn 0.500 0.000 0.746
Mn 0.589 0.651 0.500
Mn 0.911 0.151 0.500
O 0.000 0.000 0.271
O 0.000 0.000 0.729
O 0.106 0.707 0.241
O 0.106 0.707 0.759
O 0.151 0.431 0.500
O 0.163 0.443 0.000
O 0.337 0.943 0.000
O 0.349 0.931 0.500
O 0.394 0.207 0.241
O 0.394 0.207 0.759
O 0.500 0.500 0.271
O 0.500 0.500 0.729
O 0.606 0.793 0.241
O 0.606 0.793 0.759
O 0.651 0.069 0.500
O 0.663 0.057 0.000
O 0.837 0.557 0.000
O 0.849 0.569 0.500
O 0.894 0.293 0.241
O 0.894 0.293 0.759

---

The following is a calculated powder XRD pattern of K2Fe2P2O7F2. It was derived from a GGA+U-relaxed structure, using Cu Kα.
Neutral-atom scattering factors, no anomalous dispersion.

Peak list (6 most intense, 2θ from 5° to 70°, by intensity)
d = 2.952 Å, intensity 100
d = 2.998 Å, intensity 94
d = 3.326 Å, intensity 77
d = 6.228 Å, intensity 59
d = 2.778 Å, intensity 51
d = 5.433 Å, intensity 42

Structure:
Lattice parameters (Å, degrees): 7.310 11.892 11.113 90.00 90.00 90.00
Element x y z (fractional)
K 0.073 0.185 0.049
K 0.073 0.815 0.549
K 0.427 0.315 0.549
K 0.427 0.685 0.049
K 0.573 0.315 0.951
K 0.573 0.685 0.451
K 0.927 0.185 0.451
K 0.927 0.815 0.951
Fe 0.000 0.385 0.750
Fe 0.000 0.500 0.000
Fe 0.000 0.500 0.500
Fe 0.000 0.615 0.250
Fe 0.500 0.000 0.000
Fe 0.500 0.000 0.500
Fe 0.500 0.115 0.250
Fe 0.500 0.885 0.750
P 0.195 0.084 0.718
P 0.195 0.916 0.218
P 0.305 0.416 0.218
P 0.305 0.584 0.718
P 0.695 0.416 0.282
P 0.695 0.584 0.782
P 0.805 0.084 0.782
P 0.805 0.916 0.282
O 0.000 0.142 0.750
O 0.000 0.858 0.250
O 0.059 0.366 0.584
O 0.059 0.634 0.084
O 0.223 0.085 0.585
O 0.223 0.915 0.085
O 0.225 0.018 0.293
O 0.225 0.982 0.793
O 0.275 0.482 0.793
O 0.275 0.518 0.293
O 0.277 0.415 0.085
O 0.277 0.585 0.585
O 0.441 0.134 0.084
O 0.441 0.866 0.584
O 0.500 0.358 0.250
O 0.500 0.642 0.750
O 0.559 0.134 0.416
O 0.559 0.866 0.916
O 0.723 0.415 0.415
O 0.723 0.585 0.915
O 0.725 0.482 0.707
O 0.725 0.518 0.207
O 0.775 0.018 0.207
O 0.775 0.982 0.707
O 0.777 0.085 0.915
O 0.777 0.915 0.415
O 0.941 0.366 0.916
O 0.941 0.634 0.416
F 0.185 0.315 0.273
F 0.185 0.685 0.773
F 0.315 0.185 0.773
F 0.315 0.815 0.273
F 0.685 0.185 0.727
F 0.685 0.815 0.227
F 0.815 0.315 0.227
F 0.815 0.685 0.727